Entry 1:
This entry pairs a crystal structure of CeInHg6 with its theoretical X-ray powder pattern. Radiation: Cu Kα, 1.54184 Å. Structure: a structure optimized by DFT (GGA-PBE).

Top 10 peaks for 2θ from 10° to 90°, by angle:
h k l	Position (°2θ)	I/Imax
1 1 -2	33.07	982
0 1 3	33.16	488
1 -1 0	34.68	517
2 1 1	35.11	1000
0 2 -2	48.61	169
2 0 -2	48.71	169
2 2 4	49.42	160
3 2 -1	61.65	168
1 3 4	61.78	165
3 0 1	62.44	232

Structural model:
```
data_CeInHg6
_cell_length_a 5.1118
_cell_length_b 5.1126
_cell_length_c 9.5361
_cell_angle_alpha 75.08
_cell_angle_beta 74.94
_cell_angle_gamma 60.79
_symmetry_space_group_name_H-M 'P -1'
_symmetry_Int_Tables_number 2
loop_
_symmetry_equiv_pos_as_xyz
'x,y,z'
'-x,-y,-z'
loop_
_atom_site_label
_atom_site_fract_x
_atom_site_fract_y
_atom_site_fract_z
_atom_site_occupancy
Ce1 0.0000 0.0000 0.0000 1
In1 0.5000 0.5000 0.5000 1
Hg1 0.1248 0.1204 0.6291 1
Hg2 0.2621 0.2634 0.2107 1
Hg3 0.3838 0.3830 0.8488 1
```


Entry 2:
This entry pairs a crystal structure of Ce2InHgRu with its theoretical X-ray powder pattern. Radiation: Cu Kα, 1.54184 Å. Structure: a structure optimized by DFT (GGA-PBE).

Top 10 peaks for 2θ from 10° to 90°, by angle:
h k l	Position (°2θ)	I/Imax
1 0 -1	13.13	439
1 0 2	28.44	276
1 1 1	29.37	450
2 1 -1	31.77	1000
1 0 -3	32.15	503
3 0 0	34.57	468
2 1 -2	35.11	488
1 1 2	36.69	610
3 1 -2	41.82	280
0 2 0	46.33	353

Structural model:
```
data_Ce2InHgRu
_cell_length_a 8.2262
_cell_length_b 3.9193
_cell_length_c 8.3548
_cell_angle_alpha 90.00
_cell_angle_beta 108.88
_cell_angle_gamma 90.00
_symmetry_space_group_name_H-M 'P 1 21/m 1'
_symmetry_Int_Tables_number 11
loop_
_symmetry_equiv_pos_as_xyz
'x,y,z'
'-x,-y,-z'
'-x,y+1/2,-z'
'x,-y+1/2,z'
loop_
_atom_site_label
_atom_site_fract_x
_atom_site_fract_y
_atom_site_fract_z
_atom_site_occupancy
Ce1 0.0060 0.2500 0.2187 1
Ce2 0.3342 0.7500 0.5967 1
In1 0.3206 0.7500 0.1964 1
Hg1 0.3458 0.2500 0.9390 1
Ru1 0.1095 0.2500 0.6170 1
```


Entry 3:
This entry pairs a crystal structure of Ce3HgIr with its theoretical X-ray powder pattern. Radiation: Cu Kα, 1.54184 Å. Structure: a structure optimized by DFT (GGA-PBE).

Top 10 peaks for 2θ from 10° to 90°, by angle:
h k l	Position (°2θ)	I/Imax
0 0 2	22.84	190
0 1 2	29.37	215
1 1 1	34.21	1000
1 0 2	35.08	224
0 2 0	36.92	325
0 1 3	39.34	220
1 1 2	39.81	164
1 0 3	43.89	175
1 3 1	64.78	159
1 1 5	69.12	195

Structural model:
```
data_Ce3HgIr
_cell_length_a 3.3926
_cell_length_b 4.8698
_cell_length_c 7.7865
_cell_angle_alpha 90.00
_cell_angle_beta 90.00
_cell_angle_gamma 90.00
_symmetry_space_group_name_H-M 'P m m m'
_symmetry_Int_Tables_number 47
loop_
_symmetry_equiv_pos_as_xyz
'x,y,z'
'-x,-y,-z'
'-x,-y,z'
'x,y,-z'
'x,-y,-z'
'-x,y,z'
'-x,y,-z'
'x,-y,z'
loop_
_atom_site_label
_atom_site_fract_x
_atom_site_fract_y
_atom_site_fract_z
_atom_site_occupancy
Ce1 0.0000 0.0000 0.0000 1
Ce2 0.0000 0.5000 0.3146 1
Hg1 0.5000 0.0000 0.5000 1
Ir1 0.5000 0.5000 0.0000 1
```


Entry 4:
This entry pairs a crystal structure of Ce8Hg3Ir4 with its theoretical X-ray powder pattern. Radiation: Cu Kα, 1.54184 Å. Structure: a structure optimized by DFT (GGA-PBE).

Top 10 peaks for 2θ from 10° to 90°, by angle:
h k l	Position (°2θ)	I/Imax
1 1 0	12.53	96
0 4 0	29.84	1000
4 0 0	41.31	126
4 4 -2	42.70	492
4 0 -4	44.13	124
4 4 0	51.77	127
4 4 -4	54.17	127
0 8 0	61.94	77
4 8 -2	70.25	157
8 4 -4	70.41	55

Structural model:
```
data_Ce8Hg3Ir4
_cell_length_a 11.9780
_cell_length_b 11.9891
_cell_length_c 8.2088
_cell_angle_alpha 90.00
_cell_angle_beta 133.13
_cell_angle_gamma 90.00
_symmetry_space_group_name_H-M 'C 1 2/m 1'
_symmetry_Int_Tables_number 12
loop_
_symmetry_equiv_pos_as_xyz
'x,y,z'
'-x,-y,-z'
'-x,y,-z'
'x,-y,z'
'x+1/2,y+1/2,z'
'-x+1/2,-y+1/2,-z'
'-x+1/2,y+1/2,-z'
'x+1/2,-y+1/2,z'
loop_
_atom_site_label
_atom_site_fract_x
_atom_site_fract_y
_atom_site_fract_z
_atom_site_occupancy
Ce1 0.0000 0.2332 0.0000 1
Ce2 0.0000 0.2379 0.5000 1
Ce3 0.2109 0.0000 0.9576 1
Ce4 0.2296 0.0000 0.4775 1
Hg1 0.0000 0.5000 0.0000 1
Hg2 0.2500 0.2500 0.0000 1
Ir1 0.0000 0.0000 0.0000 1
Ir2 0.0000 0.0000 0.5000 1
Ir3 0.2500 0.2500 0.5000 1
```


Entry 5:
This entry pairs a crystal structure of KCeHg6 with its theoretical X-ray powder pattern. Radiation: Cu Kα, 1.54184 Å. Structure: a structure optimized by DFT (GGA-PBE).

Top 10 peaks for 2θ from 10° to 90°, by angle:
h k l	Position (°2θ)	I/Imax
0 2 1	29.57	175
0 0 2	31.28	143
2 0 0	33.33	337
1 2 1	34.04	1000
1 0 2	35.56	338
2 2 1	45.15	112
0 2 3	54.62	142
3 2 1	60.02	199
1 4 2	64.03	114
2 2 3	65.51	170

Structural model:
```
data_KCeHg6
_cell_length_a 5.3767
_cell_length_b 7.1158
_cell_length_c 5.7190
_cell_angle_alpha 90.00
_cell_angle_beta 90.00
_cell_angle_gamma 90.00
_symmetry_space_group_name_H-M 'P m m 2'
_symmetry_Int_Tables_number 25
loop_
_symmetry_equiv_pos_as_xyz
'x,y,z'
'-x,-y,z'
'-x,y,z'
'x,-y,z'
loop_
_atom_site_label
_atom_site_fract_x
_atom_site_fract_y
_atom_site_fract_z
_atom_site_occupancy
K1 0.0000 0.0000 0.0000 1
Ce1 0.5000 0.5000 0.3267 1
Hg1 0.0000 0.2634 0.4938 1
Hg2 0.0000 0.5000 0.9890 1
Hg3 0.5000 0.0000 0.3872 1
Hg4 0.5000 0.2652 0.8358 1
```


Entry 6:
This entry pairs a crystal structure of K2CeHg2Se4 with its theoretical X-ray powder pattern. Radiation: Cu Kα, 1.54184 Å. Structure: a structure optimized by DFT (GGA-PBE).

Top 10 peaks for 2θ from 10° to 90°, by angle:
h k l	Position (°2θ)	I/Imax
0 0 1	11.60	1000
3 1 -1	26.72	340
4 0 1	30.31	220
3 1 -2	30.87	601
3 1 1	32.80	179
6 0 0	35.15	106
3 1 -3	38.50	159
3 1 2	41.16	137
0 2 0	42.98	149
7 1 -1	43.46	201

Structural model:
```
data_K2CeHg2Se4
_cell_length_a 16.9871
_cell_length_b 4.2083
_cell_length_c 8.4592
_cell_angle_alpha 90.00
_cell_angle_beta 115.60
_cell_angle_gamma 90.00
_symmetry_space_group_name_H-M 'C 1 2/m 1'
_symmetry_Int_Tables_number 12
loop_
_symmetry_equiv_pos_as_xyz
'x,y,z'
'-x,-y,-z'
'-x,y,-z'
'x,-y,z'
'x+1/2,y+1/2,z'
'-x+1/2,-y+1/2,-z'
'-x+1/2,y+1/2,-z'
'x+1/2,-y+1/2,z'
loop_
_atom_site_label
_atom_site_fract_x
_atom_site_fract_y
_atom_site_fract_z
_atom_site_occupancy
K1 0.1273 0.0000 0.0707 1
Ce1 0.0000 0.0000 0.5000 1
Hg1 0.1947 0.5000 0.5281 1
Se1 0.0203 0.5000 0.2751 1
Se2 0.1809 0.0000 0.7404 1
```


Entry 7:
This entry pairs a crystal structure of Li5CeHg6 with its theoretical X-ray powder pattern. Radiation: Cu Kα, 1.54184 Å. Structure: a structure optimized by DFT (GGA-PBE).

Top 10 peaks for 2θ from 10° to 90°, by angle:
h k l	Position (°2θ)	I/Imax
0 2 0	25.35	461
1 0 1	25.67	489
1 0 -2	25.85	483
1 2 1	36.38	651
2 0 -1	36.54	1000
0 0 3	36.91	327
2 2 -1	45.04	207
0 2 3	45.31	190
3 0 0	59.42	135
3 0 -3	59.75	135

Structural model:
```
data_Li5CeHg6
_cell_length_a 4.9119
_cell_length_b 7.0281
_cell_length_c 7.6910
_cell_angle_alpha 90.00
_cell_angle_beta 108.22
_cell_angle_gamma 90.00
_symmetry_space_group_name_H-M 'P 1 2/m 1'
_symmetry_Int_Tables_number 10
loop_
_symmetry_equiv_pos_as_xyz
'x,y,z'
'-x,-y,-z'
'-x,y,-z'
'x,-y,z'
loop_
_atom_site_label
_atom_site_fract_x
_atom_site_fract_y
_atom_site_fract_z
_atom_site_occupancy
Li1 0.0000 0.0000 0.0000 1
Li2 0.3265 0.5000 0.6513 1
Li3 0.3404 0.0000 0.6834 1
Ce1 0.0000 0.5000 0.0000 1
Hg1 0.1759 0.2276 0.3491 1
Hg2 0.5000 0.2231 0.0000 1
```


Entry 8:
This entry pairs a crystal structure of Li3Ce2Hg4 with its theoretical X-ray powder pattern. Radiation: Cu Kα, 1.54184 Å. Structure: a structure optimized by DFT (GGA-PBE).

Top 10 peaks for 2θ from 10° to 90°, by angle:
h k l	Position (°2θ)	I/Imax
1 1 -1	21.69	311
0 0 2	21.85	218
2 0 -2	24.06	211
1 1 1	24.28	334
3 1 -1	32.22	671
2 0 2	32.61	264
0 2 0	36.54	1000
4 0 -2	37.14	207
3 1 1	37.53	461
2 2 2	49.75	163

Structural model:
```
data_Li3Ce2Hg4
_cell_length_a 10.1592
_cell_length_b 4.9219
_cell_length_c 8.5110
_cell_angle_alpha 90.00
_cell_angle_beta 107.08
_cell_angle_gamma 90.00
_symmetry_space_group_name_H-M 'C 1 2/m 1'
_symmetry_Int_Tables_number 12
loop_
_symmetry_equiv_pos_as_xyz
'x,y,z'
'-x,-y,-z'
'-x,y,-z'
'x,-y,z'
'x+1/2,y+1/2,z'
'-x+1/2,-y+1/2,-z'
'-x+1/2,y+1/2,-z'
'x+1/2,-y+1/2,z'
loop_
_atom_site_label
_atom_site_fract_x
_atom_site_fract_y
_atom_site_fract_z
_atom_site_occupancy
Li1 0.0000 0.0000 0.0000 1
Li2 0.1262 0.5000 0.5269 1
Ce1 0.2493 0.5000 0.2201 1
Hg1 0.0758 0.5000 0.8432 1
Hg2 0.0885 0.0000 0.3659 1
```


Entry 9:
This entry pairs a crystal structure of Li4CeHg12 with its theoretical X-ray powder pattern. Radiation: Cu Kα, 1.54184 Å. Structure: a structure optimized by DFT (GGA-PBE).

Top 10 peaks for 2θ from 10° to 90°, by angle:
h k l	Position (°2θ)	I/Imax
3 0 1	29.78	1000
3 1 2	35.41	404
4 2 2	46.92	85
4 3 1	48.96	286
5 3 0	56.57	145
6 0 0	58.37	196
6 1 3	66.90	192
7 3 0	76.48	100
6 6 0	87.20	90
7 4 3	88.71	105

Structural model:
```
data_Li4CeHg12
_cell_length_a 9.4858
_cell_length_b 9.4858
_cell_length_c 9.4858
_cell_angle_alpha 90.00
_cell_angle_beta 90.00
_cell_angle_gamma 90.00
_symmetry_space_group_name_H-M 'I m -3'
_symmetry_Int_Tables_number 204
_symmetry_space_group_name_Hall '-I 2 2 3'
loop_
_atom_site_label
_atom_site_fract_x
_atom_site_fract_y
_atom_site_fract_z
_atom_site_occupancy
Li1 0.2500 0.2500 0.2500 1
Ce1 0.0000 0.0000 0.0000 1
Hg1 0.0000 0.3413 0.1586 1
```


Entry 10:
This entry pairs a crystal structure of CeMg10Hg2 with its theoretical X-ray powder pattern. Radiation: Cu Kα, 1.54184 Å. Structure: a structure optimized by DFT (GGA-PBE).

Top 10 peaks for 2θ from 10° to 90°, by angle:
h k l	Position (°2θ)	I/Imax
0 0 2	12.42	1000
0 2 2	17.63	257
0 0 4	24.94	167
0 4 0	25.13	171
0 4 2	28.11	270
2 2 0	32.27	213
2 2 2	34.70	548
0 4 4	35.70	298
2 2 4	41.23	253
2 6 2	50.73	130

Structural model:
```
data_CeMg10Hg2
_cell_length_a 6.0281
_cell_length_b 14.1758
_cell_length_c 14.2814
_cell_angle_alpha 90.00
_cell_angle_beta 90.00
_cell_angle_gamma 90.00
_symmetry_space_group_name_H-M 'F m m m'
_symmetry_Int_Tables_number 69
_symmetry_space_group_name_Hall '-F 2 2'
loop_
_atom_site_label
_atom_site_fract_x
_atom_site_fract_y
_atom_site_fract_z
_atom_site_occupancy
Ce1 0.0000 0.0000 0.0000 1
Mg1 0.0000 0.1089 0.3949 1
Mg2 0.0000 0.1773 0.1718 1
Mg3 0.2500 0.0000 0.2500 1
Hg1 0.2500 0.2500 0.0000 1
```


Entry 11:
This entry pairs a crystal structure of Ce2Mg5Hg4 with its theoretical X-ray powder pattern. Radiation: Cu Kα, 1.54184 Å. Structure: a structure optimized by DFT (GGA-PBE).

Top 10 peaks for 2θ from 10° to 90°, by angle:
h k l	Position (°2θ)	I/Imax
0 0 4	18.80	1000
2 0 0	29.75	394
1 3 1	31.29	735
1 3 3	34.12	678
2 0 4	35.42	641
0 0 8	38.13	255
1 3 5	39.24	417
1 3 7	46.01	243
0 6 0	55.66	236
0 6 4	59.31	265

Structural model:
```
data_Ce2Mg5Hg4
_cell_length_a 6.0067
_cell_length_b 9.8988
_cell_length_c 18.8826
_cell_angle_alpha 90.00
_cell_angle_beta 90.00
_cell_angle_gamma 90.00
_symmetry_space_group_name_H-M 'F m m m'
_symmetry_Int_Tables_number 69
_symmetry_space_group_name_Hall '-F 2 2'
loop_
_atom_site_label
_atom_site_fract_x
_atom_site_fract_y
_atom_site_fract_z
_atom_site_occupancy
Ce1 0.0000 0.0000 0.1114 1
Mg1 0.0000 0.0000 0.5000 1
Mg2 0.2500 0.2500 0.0000 1
Mg3 0.2500 0.2500 0.2500 1
Hg1 0.0000 0.1597 0.3695 1
```


Entry 12:
This entry pairs a crystal structure of CeMg4Hg2 with its theoretical X-ray powder pattern. Radiation: Cu Kα, 1.54184 Å. Structure: a structure optimized by DFT (GGA-PBE).

Top 10 peaks for 2θ from 10° to 90°, by angle:
h k l	Position (°2θ)	I/Imax
2 1 0	23.44	316
1 1 1	24.17	1000
2 2 0	29.78	520
2 1 1	30.36	708
3 0 1	37.17	454
0 0 2	38.60	296
3 1 1	38.71	604
4 1 0	44.00	291
2 2 2	49.52	310
5 2 1	62.18	303

Structural model:
```
data_CeMg4Hg2
_cell_length_a 8.4859
_cell_length_b 8.4859
_cell_length_c 4.6645
_cell_angle_alpha 90.00
_cell_angle_beta 90.00
_cell_angle_gamma 90.00
_symmetry_space_group_name_H-M 'P 42/m n m'
_symmetry_Int_Tables_number 136
_symmetry_space_group_name_Hall '-P 4n 2n'
loop_
_atom_site_label
_atom_site_fract_x
_atom_site_fract_y
_atom_site_fract_z
_atom_site_occupancy
Ce1 0.0000 0.0000 0.0000 1
Mg1 0.0941 0.3430 0.5000 1
Hg1 0.2092 0.7908 0.5000 1
```